This entry pairs a crystal structure of Na5B9C with its theoretical powder XRD pattern. Radiation: Cu Kα (λ = 1.5418 Å). Structure: a cell relaxed with PBE.
Kinematic intensities with the Lorentz-polarization factor, no thermal factor.

Structural model:
```
30
Lattice="9.067 -1.463 0.000 9.067 1.463 0.000 -5.191 0.000 12.615" Properties=species:S:1:pos:R:3 pbc="T T T"
Na 0.000 0.000 0.000
Na 15.548 0.000 6.274
Na 1.522 0.000 5.020
Na -1.038 0.000 11.362
Na 3.094 0.000 10.090
Na 5.727 0.000 3.736
Na 9.831 0.000 2.512
Na 7.256 0.000 8.829
Na 11.378 0.000 7.541
Na 14.014 0.000 1.242
B -1.026 0.000 3.982
B -3.627 0.000 10.316
B -0.008 0.000 7.338
B 3.104 0.000 2.687
B 0.512 0.000 9.033
B 4.120 0.000 6.005
B 1.536 0.000 12.380
B 4.606 0.000 7.605
B 7.259 0.000 1.462
B 8.295 0.000 4.808
B 5.748 0.000 11.308
B 8.809 0.000 6.510
B 11.462 0.000 0.392
B 9.833 0.000 9.866
B 12.865 0.000 4.949
B 10.346 0.000 11.555
B 16.585 0.000 2.284
B 14.006 0.000 8.681
C 2.629 0.000 1.143
C 12.408 0.000 3.465
```

Principal peaks in the range 10° ≤ 2θ ≤ 90°, most intense first:
| 2theta | I (rel.) |
| --- | --- |
| 40.96 | 1000 |
| 41.68 | 357 |
| 39.95 | 253 |
| 40.05 | 251 |
| 35.07 | 190 |
| 61.50 | 178 |
| 33.97 | 118 |
| 77.84 | 107 |